The following is a simulated X-ray diffraction stick pattern of LaCr2TeO8. It was derived from a PBE+U-relaxed structure, using Cu Kα X-rays.

Cell and atoms:
```
data_LaCr2TeO8
_cell_length_a 5.4393
_cell_length_b 5.4393
_cell_length_c 8.0576
_cell_angle_alpha 91.14
_cell_angle_beta 91.14
_cell_angle_gamma 41.93
_space_group_name_H-M_alt 'P 1'
_space_group_IT_number 1
loop_
_space_group_symop_operation_xyz
'x,y,z'
loop_
_atom_site_label
_atom_site_type_symbol
_atom_site_fract_x
_atom_site_fract_y
_atom_site_fract_z
La1 La 0.0000 0.0000 0.0000
Cr1 Cr 0.3022 0.3022 0.7317
Cr2 Cr 0.6978 0.6978 0.2683
Te1 Te 0.0000 0.0000 0.5000
O1 O 0.1244 0.1244 0.7243
O2 O 0.1489 0.1489 0.2776
O3 O 0.3684 0.3684 0.9374
O4 O 0.3879 0.3879 0.5400
O5 O 0.6121 0.6121 0.4600
O6 O 0.6316 0.6316 0.0626
O7 O 0.8511 0.8511 0.7224
O8 O 0.8756 0.8756 0.2757
```

The 10 most intense peaks (2θ from 10° to 90°), by angle:
| 2theta | d_spacing | Rel. int. |
| --- | --- | --- |
| 17.46 | 5.078 | 62 |
| 24.49 | 3.634 | 100 |
| 27.98 | 3.189 | 91 |
| 28.58 | 3.123 | 93 |
| 33.07 | 2.709 | 50 |
| 33.33 | 2.688 | 39 |
| 35.13 | 2.554 | 93 |
| 41.59 | 2.171 | 47 |
| 46.68 | 1.946 | 43 |
| 55.50 | 1.656 | 39 |